(1)
For HfNi3, a DFT-relaxed cell (PBE, OQMD) gives the simulated PXRD pattern in this record (copper Kα).
No peak broadening, texture or thermal motion is included.

Top 10 peaks for 10 to 90 degrees two-theta, low angle first:
2θ/deg, intensity
28.6, 36
34.1, 21
40.5, 26
42.3, 42
43.2, 20
45.1, 100
47.4, 17
71.8, 24
79.3, 17
87.0, 29

Crystal structure
```
data_HfNi3
_chemical_formula_sum 'Hf10 Ni30'
_space_group_name_H-M_alt 'P 63/m m c'
_space_group_IT_number 194
_space_group_name_Hall '-P 6c 2c'
_cell_length_a 5.2619
_cell_length_b 5.2619
_cell_length_c 21.3601
_cell_angle_alpha 90.00
_cell_angle_beta 90.00
_cell_angle_gamma 120.00
loop_
_atom_site_label
_atom_site_type_symbol
_atom_site_fract_x
_atom_site_fract_y
_atom_site_fract_z
Hf1 Hf 0.0000 0.0000 0.2500
Hf2 Hf 0.3333 0.6667 0.0459
Hf3 Hf 0.3333 0.6667 0.6512
Ni1 Ni 0.0220 0.5110 0.2500
Ni2 Ni 0.1561 0.3122 0.5513
Ni3 Ni 0.1680 0.3361 0.1495
```


(2)
For Ga4Ni, a DFT-relaxed cell (PBE, OQMD) gives the simulated PXRD pattern in this record (copper Kα).
No peak broadening, texture or thermal motion is included.

Top 10 peaks for 10 to 90 degrees two-theta, low angle first:
2θ/deg, intensity
33.4, 26
35.6, 24
37.0, 23
37.5, 80
39.5, 100
40.8, 86
46.5, 44
49.6, 37
50.9, 20
70.5, 22

Crystal structure
```
data_Ga4Ni
_chemical_formula_sum 'Ga8 Ni2'
_space_group_name_H-M_alt 'P -4 21 c'
_space_group_IT_number 114
_space_group_name_Hall 'P -4 2n'
_cell_length_a 5.366
_cell_length_b 5.366
_cell_length_c 5.707
_cell_angle_alpha 90.00
_cell_angle_beta 90.00
_cell_angle_gamma 90.00
loop_
_atom_site_label
_atom_site_type_symbol
_atom_site_fract_x
_atom_site_fract_y
_atom_site_fract_z
Ga1 Ga 0.148 0.270 0.175
Ni1 Ni 0.000 0.000 0.500
```


(3)
For LiZr3As5, a DFT-relaxed cell (PBE, OQMD) gives the simulated PXRD pattern in this record (copper Kα).
No peak broadening, texture or thermal motion is included.

Top 10 peaks for 10 to 90 degrees two-theta, low angle first:
2θ/deg, intensity
13.9, 58
16.5, 59
28.7, 50
36.2, 100
40.5, 23
42.5, 25
44.0, 75
59.4, 31
68.4, 18
75.8, 27

Crystal structure
```
data_LiZr3As5
_chemical_formula_sum 'Li1 Zr3 As5'
_space_group_name_H-M_alt 'P 6/m m m'
_space_group_IT_number 191
_space_group_name_Hall '-P 6 2'
_cell_length_a 6.2198
_cell_length_b 6.2198
_cell_length_c 6.3742
_cell_angle_alpha 90.00
_cell_angle_beta 90.00
_cell_angle_gamma 120.00
loop_
_atom_site_label
_atom_site_type_symbol
_atom_site_fract_x
_atom_site_fract_y
_atom_site_fract_z
Li1 Li 0.0000 0.0000 0.0000
Zr1 Zr 0.0000 0.5000 0.5000
As1 As 0.0000 0.0000 0.5000
As2 As 0.3333 0.6667 0.1877
```


(4)
For Ni15Pb, a DFT-relaxed cell (PBE, OQMD) gives the simulated PXRD pattern in this record (copper Kα).
No peak broadening, texture or thermal motion is included.

Top 10 peaks for 10 to 90 degrees two-theta, low angle first:
2θ/deg, intensity
10.6, 32
13.2, 19
43.9, 100
44.0, 34
44.4, 80
46.7, 29
49.6, 52
51.7, 22
55.0, 33
77.2, 25

Crystal structure
```
data_Ni15Pb
_chemical_formula_sum 'Ni30 Pb2'
_space_group_name_H-M_alt 'P 1 21/m 1'
_space_group_IT_number 11
_space_group_name_Hall '-P 2yb'
_cell_length_a 6.679
_cell_length_b 2.619
_cell_length_c 33.523
_cell_angle_alpha 90.00
_cell_angle_beta 90.00
_cell_angle_gamma 90.00
loop_
_atom_site_label
_atom_site_type_symbol
_atom_site_fract_x
_atom_site_fract_y
_atom_site_fract_z
Ni1 Ni 0.124 0.250 0.334
Ni2 Ni 0.125 0.250 0.259
Ni3 Ni 0.125 0.250 0.408
Ni4 Ni 0.125 0.250 0.482
Ni5 Ni 0.125 0.250 0.555
Ni6 Ni 0.125 0.250 0.629
Ni7 Ni 0.125 0.250 0.704
Ni8 Ni 0.374 0.750 0.666
Ni9 Ni 0.375 0.750 0.224
Ni10 Ni 0.375 0.750 0.297
Ni11 Ni 0.375 0.750 0.371
Ni12 Ni 0.375 0.750 0.445
Ni13 Ni 0.375 0.750 0.519
Ni14 Ni 0.375 0.750 0.592
Ni15 Ni 0.375 0.750 0.741
Pb1 Pb 0.125 0.250 0.796
```


(5)
For TaPd3, a DFT-relaxed cell (PBE, OQMD) gives the simulated PXRD pattern in this record (copper Kα).
No peak broadening, texture or thermal motion is included.

Top 10 peaks for 10 to 90 degrees two-theta, low angle first:
2θ/deg, intensity
38.3, 25
39.0, 44
40.7, 21
42.4, 100
44.5, 17
49.4, 12
67.6, 26
73.0, 19
80.9, 31
83.1, 14

Crystal structure
```
data_TaPd3
_chemical_formula_sum 'Ta10 Pd30'
_space_group_name_H-M_alt 'P 63/m m c'
_space_group_IT_number 194
_space_group_name_Hall '-P 6c 2c'
_cell_length_a 5.5453
_cell_length_b 5.5453
_cell_length_c 23.1051
_cell_angle_alpha 90.00
_cell_angle_beta 90.00
_cell_angle_gamma 120.00
loop_
_atom_site_label
_atom_site_type_symbol
_atom_site_fract_x
_atom_site_fract_y
_atom_site_fract_z
Ta1 Ta 0.0000 0.0000 0.2500
Ta2 Ta 0.3333 0.6667 0.0454
Ta3 Ta 0.3333 0.6667 0.6510
Pd1 Pd 0.0019 0.5010 0.7500
Pd2 Pd 0.1669 0.3339 0.1506
Pd3 Pd 0.1682 0.3365 0.5518
```


(6)
For Pr2GdMg3Ag3, a DFT-relaxed cell (PBE, OQMD) gives the simulated PXRD pattern in this record (copper Kα).
No peak broadening, texture or thermal motion is included.

Top 10 peaks for 10 to 90 degrees two-theta, low angle first:
2θ/deg, intensity
22.9, 32
26.5, 23
31.0, 77
33.8, 100
40.2, 18
41.3, 25
42.0, 23
53.5, 16
59.6, 16
64.1, 14

Crystal structure
```
data_Pr2GdMg3Ag3
_chemical_formula_sum 'Pr4 Gd2 Mg6 Ag6'
_space_group_name_H-M_alt 'A m m 2'
_space_group_IT_number 38
_space_group_name_Hall 'A 2 -2'
_cell_length_a 4.299
_cell_length_b 13.479
_cell_length_c 7.755
_cell_angle_alpha 90.00
_cell_angle_beta 90.00
_cell_angle_gamma 90.00
loop_
_atom_site_label
_atom_site_type_symbol
_atom_site_fract_x
_atom_site_fract_y
_atom_site_fract_z
Pr1 Pr 0.000 0.208 0.000
Gd1 Gd 0.000 0.000 0.376
Mg1 Mg 0.500 0.000 0.035
Mg2 Mg 0.500 0.118 0.669
Ag1 Ag 0.000 0.000 0.786
Ag2 Ag 0.500 0.162 0.294
```